[1]
NdY2Cu4Sn2Ge2: calculated powder diffractogram (Cu Kα (weighted mean of Kα1 and Kα2)), based on the GGA-PBE geometry in OQMD.

Atomic structure:
Cell lengths 8.3422, 8.3422, 8.3422 Å; angles 149.66, 131.90, 57.94 degrees
Atoms (fractional coordinates):
1 Nd 0.0000 0.0000 0.0000
2 Y 0.3752 0.8752 0.5000
3 Y 0.6248 0.1248 0.5000
4 Cu 0.0295 0.3402 0.6893
5 Cu 0.3492 0.6599 0.6893
6 Cu 0.6508 0.3402 0.3107
7 Cu 0.9705 0.6599 0.3107
8 Sn 0.2195 0.2195 0.0000
9 Sn 0.7805 0.7805 0.0000
10 Ge 0.3127 0.5000 0.8127
11 Ge 0.6873 0.5000 0.1873

Main lines, sorted by position (10 to 80 degrees two-theta):
two_theta, intensity
33.4, 28.0
34.0, 76.7
34.6, 100.0
41.4, 38.8
44.1, 18.5
45.9, 20.9
51.0, 12.3
54.2, 14.2
62.0, 12.2
78.1, 15.3

[2]
TbNd2Cu4Ge4: calculated powder diffractogram (Cu Kα (weighted mean of Kα1 and Kα2)), based on the GGA-PBE geometry in OQMD.

Atomic structure:
Cell lengths 8.1520, 8.1520, 8.1520 Å; angles 149.33, 131.58, 58.41 degrees
Atoms (fractional coordinates):
1 Tb 0.0000 0.0000 0.0000
2 Nd 0.3680 0.8680 0.5000
3 Nd 0.6320 0.1320 0.5000
4 Cu 0.0196 0.3335 0.6861
5 Cu 0.3525 0.6665 0.6861
6 Cu 0.6475 0.3335 0.3139
7 Cu 0.9804 0.6665 0.3139
8 Ge 0.2151 0.2151 0.0000
9 Ge 0.3065 0.5000 0.8065
10 Ge 0.6935 0.5000 0.1935
11 Ge 0.7849 0.7849 0.0000

Main lines, sorted by position (10 to 80 degrees two-theta):
two_theta, intensity
34.2, 26.3
34.5, 91.1
35.4, 100.0
37.9, 21.5
41.9, 39.2
44.9, 28.5
46.9, 13.4
57.2, 13.4
63.1, 20.1
79.8, 14.5

[3]
Pr3Cu2Ni2Ge4: calculated powder diffractogram (Cu Kα (weighted mean of Kα1 and Kα2)), based on the GGA-PBE geometry in OQMD.

Atomic structure:
Cell lengths 12.4022, 12.4022, 12.4022 Å; angles 160.46, 160.40, 27.81 degrees
Atoms (fractional coordinates):
1 Pr 0.0000 0.0000 0.0000
2 Pr 0.3471 0.8471 0.5000
3 Pr 0.6529 0.1529 0.5000
4 Cu 0.0991 0.5991 0.5000
5 Cu 0.9009 0.4009 0.5000
6 Ni 0.2492 0.2492 0.0000
7 Ni 0.7508 0.7508 0.0000
8 Ge 0.2006 0.7006 0.5000
9 Ge 0.4473 0.4473 0.0000
10 Ge 0.5527 0.5527 0.0000
11 Ge 0.7994 0.2994 0.5000

Main lines, sorted by position (10 to 80 degrees two-theta):
two_theta, intensity
30.9, 31.8
33.6, 100.0
33.6, 60.9
39.9, 37.1
42.8, 34.4
43.0, 34.1
54.1, 16.1
55.6, 30.9
60.1, 21.8
62.3, 22.7

[4]
CuSiGeP3: calculated powder diffractogram (Cu Kα (weighted mean of Kα1 and Kα2)), based on the GGA-PBE geometry in OQMD.

Atomic structure:
Cell lengths 12.4383, 3.7506, 5.3565 Å; angles 90.00, 115.37, 90.00 degrees
Atoms (fractional coordinates):
1 Cu 0.0000 0.0000 0.0000
2 Cu 0.5000 0.5000 0.0000
3 Si 0.3378 0.0000 0.3512
4 Si 0.8378 0.5000 0.3512
5 Ge 0.1643 0.5000 0.6765
6 Ge 0.6643 0.0000 0.6765
7 P 0.1665 0.0000 0.4059
8 P 0.3390 0.5000 0.0990
9 P 0.4958 0.0000 0.7581
10 P 0.6665 0.5000 0.4059
11 P 0.8390 0.0000 0.0990
12 P 0.9958 0.5000 0.7581

Main lines, sorted by position (10 to 80 degrees two-theta):
two_theta, intensity
18.3, 6.0
29.1, 100.0
33.8, 5.7
48.3, 41.3
48.6, 20.4
57.1, 9.8
57.6, 26.4
71.1, 6.2
78.1, 5.2
78.3, 5.1